Li9Mn7O16: computed XRD peak list (Cu Kα, 1.54184 Å), based on a structure optimized by DFT (PBE+U).
No peak broadening, texture or thermal motion is included.

The 10 most intense peaks (2θ from 15° to 90°), by angle:
2θ = 18.30°, I = 100
2θ = 33.79°, I = 18
2θ = 36.16°, I = 23
2θ = 40.74°, I = 34
2θ = 44.14°, I = 56
2θ = 46.89°, I = 10
2θ = 58.21°, I = 10
2θ = 61.26°, I = 16
2θ = 61.99°, I = 16
2θ = 64.78°, I = 8

Crystal structure
```
data_Li9Mn7O16
_space_group_name_H-M_alt 'C 1 2/m 1'
_space_group_IT_number 12
_cell_length_a 15.350
_cell_length_b 2.878
_cell_length_c 13.564
_cell_angle_alpha 90.00
_cell_angle_beta 95.19
_cell_angle_gamma 90.00
loop_
_space_group_symop_operation_xyz
'x,y,z'
'-x,-y,-z'
'-x,y,-z'
'x,-y,z'
'x+1/2,y+1/2,z'
'-x+1/2,-y+1/2,-z'
'-x+1/2,y+1/2,-z'
'x+1/2,-y+1/2,z'
loop_
_atom_site_label
_atom_site_type_symbol
_atom_site_fract_x
_atom_site_fract_y
_atom_site_fract_z
Li1 Li 0.000 0.000 0.000
Li2 Li 0.061 0.500 0.179
Li3 Li 0.062 0.000 0.693
Li4 Li 0.182 0.000 0.055
Li5 Li 0.188 0.500 0.561
Mn1 Mn 0.000 0.500 0.500
Mn2 Mn 0.120 0.500 0.885
Mn3 Mn 0.126 0.000 0.372
Mn4 Mn 0.248 0.000 0.759
O1 O 0.039 0.000 0.846
O2 O 0.042 0.500 0.342
O3 O 0.085 0.000 0.534
O4 O 0.097 0.500 0.014
O5 O 0.161 0.500 0.734
O6 O 0.166 0.000 0.214
O7 O 0.206 0.000 0.906
O8 O 0.211 0.500 0.405
```